Diffraction record for Li2GaRh. The X-ray diffraction stick pattern is computed, not measured: it uses a DFT-relaxed cell (PBE, the Materials Project) and Cu Kα X-rays.
No peak broadening, texture or thermal motion is included.

Crystal structure
Unit cell a=4.248 b=4.248 c=4.248 alpha=60.00 beta=60.00 gamma=60.00
Positions (direct):
Li: 0.000 0.000 0.000
Li: 0.250 0.250 0.250
Ga: 0.500 0.500 0.500
Rh: 0.750 0.750 0.750

Largest 7 diffraction maxima, most intense first, 5° ≤ 2θ ≤ 70°:
2θ/deg, d [Å], I_rel
25.68, 3.468, 100
42.56, 2.124, 93
50.38, 1.811, 46
68.02, 1.378, 18
61.77, 1.502, 15
29.74, 3.004, 4
52.79, 1.734, 1